[1]
Simulated X-ray diffraction stick pattern of Tm2Al6Au3 for λ = 1.5418 Å (Cu Kα), from the GGA-PBE geometry in Alexandria.
Intensities are scaled so that the largest is 100.

Cell and atoms:
```
11
Lattice="7.8055 0.0000 0.0000 -3.9028 6.7598 0.0000 0.0000 0.0000 4.1023" Properties=species:S:1:pos:R:3 pbc="T T T"
Tm 0.0000 4.5065 0.0000
Tm 3.9028 2.2533 0.0000
Al -0.7494 1.2980 0.0000
Al -2.7335 4.7346 2.0512
Al 1.4988 0.0000 0.0000
Al 1.1693 2.0252 2.0512
Al 5.4670 0.0000 2.0512
Al 3.1534 5.4618 0.0000
Au -1.4768 2.5580 2.0512
Au 2.9537 0.0000 2.0512
Au 2.4259 4.2018 2.0512
```

Peak list (10 most intense, 10° ≤ 2θ ≤ 90°, sorted by position)
2theta, I_rel
13.10, 26
22.79, 38
31.64, 100
34.38, 21
40.01, 34
41.64, 20
48.56, 14
51.89, 19
61.09, 20
67.47, 16

[2]
Simulated X-ray diffraction stick pattern of UAlAu11 for λ = 1.5418 Å (Cu Kα), from the GGA-PBE geometry in Alexandria.
Intensities are scaled so that the largest is 100.

Cell and atoms:
```
13
Lattice="2.7720 -6.7002 0.0000 2.7720 6.7002 0.0000 -2.5359 0.0000 6.7469" Properties=species:S:1:pos:R:3 pbc="T T T"
U 0.0000 0.0000 0.0000
Al 1.5040 0.0000 3.3735
Au -1.2680 0.0000 3.3735
Au 1.3860 3.3501 0.0000
Au 0.0632 2.2615 2.3446
Au 0.3148 1.3966 5.2805
Au 0.0632 -2.2615 2.3446
Au 2.6933 1.3966 1.4664
Au 1.3860 -3.3501 0.0000
Au 0.3148 -1.3966 5.2805
Au 2.9449 2.2615 4.4023
Au 2.6933 -1.3966 1.4664
Au 2.9449 -2.2615 4.4023
```

Peak list (10 most intense, 10° ≤ 2θ ≤ 90°, sorted by position)
2theta, I_rel
32.19, 20
32.32, 24
32.90, 35
37.16, 75
37.82, 100
37.99, 42
38.20, 19
42.32, 42
42.96, 17
67.35, 19

[3]
Simulated X-ray diffraction stick pattern of AlV9Au2 for λ = 1.5418 Å (Cu Kα), from the GGA-PBE geometry in Alexandria.
Intensities are scaled so that the largest is 100.

Cell and atoms:
```
24
Lattice="4.8507 0.0000 0.0000 0.0000 4.8569 0.0000 0.0000 0.0000 14.5546" Properties=species:S:1:pos:R:3 pbc="T T T"
Al 0.0000 0.0000 2.4000
Al 0.0000 0.0000 12.1546
V 0.0000 1.2013 0.0000
V 0.0000 1.2058 4.7821
V 0.0000 1.2058 9.7725
V 0.0000 3.6511 4.7821
V 0.0000 3.6511 9.7725
V 0.0000 3.6556 0.0000
V 1.1850 2.4285 2.4212
V 1.1850 2.4285 12.1334
V 1.2261 2.4285 7.2773
V 2.4254 0.0000 1.1969
V 2.4254 0.0000 3.6266
V 2.4254 0.0000 6.0971
V 2.4254 0.0000 8.4575
V 2.4254 0.0000 10.9280
V 2.4254 0.0000 13.3577
V 3.6247 2.4285 7.2773
V 3.6658 2.4285 2.4212
V 3.6658 2.4285 12.1334
Au 0.0000 0.0000 7.2773
Au 2.4254 2.4285 0.0000
Au 2.4254 2.4285 4.8520
Au 2.4254 2.4285 9.7026
```

Peak list (10 most intense, 10° ≤ 2θ ≤ 90°, sorted by position)
2theta, I_rel
18.28, 22
25.96, 50
31.94, 9
37.05, 46
41.61, 47
45.80, 100
53.40, 8
60.31, 11
69.88, 9
72.94, 49

[4]
Simulated X-ray diffraction stick pattern of Al2VAu8 for λ = 1.5418 Å (Cu Kα), from the GGA-PBE geometry in Alexandria.
Intensities are scaled so that the largest is 100.

Cell and atoms:
```
11
Lattice="4.7815 0.0000 0.0000 -0.5446 6.2512 0.0000 -2.1137 -3.0934 6.5466" Properties=species:S:1:pos:R:3 pbc="T T T"
Al 0.0000 0.0000 0.0000
Al 0.0226 0.0263 4.1690
V 2.0400 3.3605 2.0707
Au -0.8535 1.2552 2.0826
Au -0.3299 3.5715 0.5556
Au -0.3228 3.5956 3.5798
Au 0.0562 -1.4252 6.3658
Au 1.5427 -0.3049 2.0766
Au -0.1074 1.7977 6.1207
Au 2.1795 1.7063 4.3391
Au 2.5640 -1.3406 4.5730
```

Peak list (10 most intense, 10° ≤ 2θ ≤ 90°, sorted by position)
2theta, I_rel
22.46, 48
27.72, 46
36.38, 88
37.77, 68
38.91, 100
39.04, 98
39.26, 92
39.92, 36
40.29, 46
41.36, 73

[5]
Simulated X-ray diffraction stick pattern of AlV4Au for λ = 1.5418 Å (Cu Kα), from the GGA-PBE geometry in Alexandria.
Intensities are scaled so that the largest is 100.

Cell and atoms:
```
12
Lattice="4.4353 0.0000 0.0000 0.0000 8.9712 0.0000 0.0000 0.0000 4.4162" Properties=species:S:1:pos:R:3 pbc="T T T"
Al 0.0000 0.0000 0.0000
Al 2.2177 4.4856 0.0000
V 0.0000 1.5808 2.2081
V 0.0000 2.7843 0.0000
V 0.0000 6.1869 0.0000
V 0.0000 7.3904 2.2081
V 2.2177 1.7013 0.0000
V 2.2177 2.9048 2.2081
V 2.2177 6.0664 2.2081
V 2.2177 7.2699 0.0000
Au 0.0000 4.4856 2.2081
Au 2.2177 0.0000 2.2081
```

Peak list (10 most intense, 10° ≤ 2θ ≤ 90°, sorted by position)
2theta, I_rel
20.11, 27
22.36, 38
28.36, 28
30.25, 28
40.68, 28
40.87, 28
41.78, 100
59.03, 18
74.79, 17
75.04, 17

[6]
Simulated X-ray diffraction stick pattern of AlW2Au for λ = 1.5418 Å (Cu Kα), from the GGA-PBE geometry in Alexandria.
Intensities are scaled so that the largest is 100.

Cell and atoms:
```
4
Lattice="2.7748 0.0000 0.0000 0.0000 4.3604 0.0000 -0.5264 0.0000 5.3346" Properties=species:S:1:pos:R:3 pbc="T T T"
Al 0.0000 0.0000 0.0000
W 1.1502 2.1802 1.2461
W 1.0982 2.1802 4.0885
Au -0.2632 0.0000 2.6673
```

Peak list (10 most intense, 10° ≤ 2θ ≤ 90°, sorted by position)
2theta, I_rel
16.62, 20
26.40, 35
38.59, 100
39.61, 95
41.42, 43
44.87, 38
49.80, 25
62.70, 25
66.71, 21
74.32, 16

[7]
Simulated X-ray diffraction stick pattern of AlWAu2 for λ = 1.5418 Å (Cu Kα), from the GGA-PBE geometry in Alexandria.
Intensities are scaled so that the largest is 100.

Cell and atoms:
```
8
Lattice="2.8450 0.0000 0.0000 0.0000 4.9158 0.0000 0.0000 0.0000 9.6255" Properties=species:S:1:pos:R:3 pbc="T T T"
Al 0.0000 0.0000 0.0000
Al 1.4225 2.4579 4.8127
W 0.0000 2.4579 2.5173
W 1.4225 0.0000 7.3301
Au 0.0000 0.0000 4.8231
Au 0.0000 2.4579 7.0588
Au 1.4225 0.0000 2.2461
Au 1.4225 2.4579 0.0104
```

Peak list (10 most intense, 10° ≤ 2θ ≤ 90°, sorted by position)
2theta, I_rel
18.44, 11
20.28, 15
33.35, 18
36.55, 39
37.37, 30
41.18, 100
53.27, 24
68.95, 22
70.00, 18
89.40, 11

[8]
Simulated X-ray diffraction stick pattern of YAl6Au12 for λ = 1.5418 Å (Cu Kα), from the GGA-PBE geometry in Alexandria.
Intensities are scaled so that the largest is 100.

Cell and atoms:
```
19
Lattice="6.0026 3.4656 2.8837 -6.0026 3.4656 2.8837 0.0000 -6.9312 2.8837" Properties=species:S:1:pos:R:3 pbc="T T T"
Y 0.0000 0.0000 0.0000
Al 0.0000 -2.8419 3.6278
Al -2.4612 1.4210 3.6278
Al -2.4612 -1.4210 5.0233
Al 2.4612 1.4210 3.6278
Al 2.4612 -1.4210 5.0233
Al 0.0000 2.8419 5.0233
Au -2.2840 -3.9560 4.3256
Au -4.5680 0.0000 4.3256
Au -1.4821 -0.8557 2.5363
Au 1.4821 -0.8557 2.5363
Au 0.0000 1.7114 2.5363
Au 2.2840 -3.9560 4.3256
Au -2.2840 3.9560 4.3256
Au 0.0000 -1.7114 6.1148
Au -1.4821 0.8557 6.1148
Au 1.4821 0.8557 6.1148
Au 4.5680 0.0000 4.3256
Au 2.2840 3.9560 4.3256
```

Peak list (10 most intense, 10° ≤ 2θ ≤ 90°, sorted by position)
2theta, I_rel
22.26, 49
32.74, 100
34.51, 44
39.18, 28
39.73, 16
40.70, 50
45.38, 23
48.58, 39
55.23, 17
70.78, 24

[9]
Simulated X-ray diffraction stick pattern of Y3Al7Au4 for λ = 1.5418 Å (Cu Kα), from the GGA-PBE geometry in Alexandria.
Intensities are scaled so that the largest is 100.

Cell and atoms:
```
14
Lattice="8.0235 -2.1628 0.0000 8.0235 2.1628 0.0000 -5.8191 0.0000 7.8073" Properties=species:S:1:pos:R:3 pbc="T T T"
Y 0.0000 0.0000 0.0000
Y 3.1691 0.0000 2.4372
Y 7.0588 0.0000 5.3701
Al -2.9096 0.0000 3.9036
Al -0.0376 0.0000 3.3132
Al -0.4162 0.0000 7.5566
Al 3.8952 0.0000 5.4917
Al 6.3327 0.0000 2.3156
Al 10.6441 0.0000 0.2507
Al 10.2655 0.0000 4.4941
Au -2.9161 0.0000 6.6375
Au 1.3254 0.0000 5.6531
Au 8.9025 0.0000 2.1542
Au 13.1440 0.0000 1.1698
```

Peak list (10 most intense, 10° ≤ 2θ ≤ 90°, sorted by position)
2theta, I_rel
22.77, 48
26.41, 100
26.52, 57
27.73, 35
34.55, 67
34.61, 56
34.87, 81
41.76, 58
43.15, 35
51.28, 36

[10]
Simulated X-ray diffraction stick pattern of YAl2Au6 for λ = 1.5418 Å (Cu Kα), from the GGA-PBE geometry in Alexandria.
Intensities are scaled so that the largest is 100.

Cell and atoms:
```
9
Lattice="6.0352 -3.7300 0.0000 6.0352 3.7300 0.0000 -1.3393 0.0000 4.1138" Properties=species:S:1:pos:R:3 pbc="T T T"
Y 0.0000 0.0000 0.0000
Al 3.2136 0.0000 1.2330
Al 7.5176 0.0000 2.8807
Au 2.8482 1.4773 3.3923
Au 5.3656 1.5538 2.0569
Au 7.8830 1.4773 0.7214
Au 2.8482 -1.4773 3.3923
Au 5.3656 -1.5538 2.0569
Au 7.8830 -1.4773 0.7214
```

Peak list (10 most intense, 10° ≤ 2θ ≤ 90°, sorted by position)
2theta, I_rel
23.86, 98
30.40, 87
32.03, 77
36.99, 42
39.01, 100
40.33, 92
41.81, 60
47.53, 38
48.71, 30
53.86, 30

[11]
Simulated X-ray diffraction stick pattern of YAlZn2Au for λ = 1.5418 Å (Cu Kα), from the GGA-PBE geometry in Alexandria.
Intensities are scaled so that the largest is 100.

Cell and atoms:
```
10
Lattice="3.9797 0.0000 0.0000 0.0000 4.1659 0.0000 0.0000 0.0000 11.5815" Properties=species:S:1:pos:R:3 pbc="T T T"
Y 0.0000 0.0000 0.0000
Y 1.9898 2.0830 5.7907
Al 0.0000 2.0830 8.6132
Al 1.9898 0.0000 2.8224
Zn 0.0000 0.0000 7.0561
Zn 0.0000 2.0830 2.8364
Zn 1.9898 0.0000 8.6271
Zn 1.9898 2.0830 1.2653
Au 0.0000 0.0000 4.5046
Au 1.9898 2.0830 10.2953
```

Peak list (10 most intense, 10° ≤ 2θ ≤ 90°, sorted by position)
2theta, I_rel
15.30, 36
23.64, 51
31.08, 62
31.60, 65
32.31, 43
34.81, 100
43.44, 38
44.38, 47
44.77, 41
45.30, 40

[12]
Simulated X-ray diffraction stick pattern of AlZn7Au4 for λ = 1.5418 Å (Cu Kα), from the GGA-PBE geometry in Alexandria.
Intensities are scaled so that the largest is 100.

Cell and atoms:
```
12
Lattice="6.3652 -2.3218 0.0000 6.3652 2.3218 0.0000 -5.9123 0.0000 7.3590" Properties=species:S:1:pos:R:3 pbc="T T T"
Al 0.0000 0.0000 0.0000
Zn -1.2746 0.0000 2.4788
Zn -2.3495 0.0000 6.3265
Zn 1.9909 0.0000 3.0790
Zn 6.3652 0.0000 0.0000
Zn 4.8272 0.0000 4.2801
Zn 9.1677 0.0000 1.0325
Zn 8.0928 0.0000 4.8802
Au -0.1766 0.0000 4.8124
Au 4.0902 0.0000 1.5626
Au 2.7279 0.0000 5.7964
Au 6.9947 0.0000 2.5466
```

Peak list (10 most intense, 10° ≤ 2θ ≤ 90°, sorted by position)
2theta, I_rel
19.01, 30
21.12, 57
27.65, 22
28.90, 29
31.35, 32
38.78, 65
40.21, 47
41.14, 100
41.29, 81
57.10, 33